Structure and calculated X-ray powder pattern of Cd10Ga3Hg3 (a structure optimized by DFT (PBE); Cu Kα (weighted mean of Kα1 and Kα2)).
Neutral-atom scattering factors, no anomalous dispersion.

The 10 most intense peaks (2θ from 10° to 90°), by angle:
- 29.25°, 3.053 Å, I 20
- 32.48°, 2.757 Å, I 33
- 35.74°, 2.513 Å, I 100
- 36.34°, 2.472 Å, I 58
- 36.98°, 2.431 Å, I 19
- 38.45°, 2.341 Å, I 15
- 45.57°, 1.990 Å, I 13
- 47.34°, 1.920 Å, I 13
- 56.17°, 1.638 Å, I 27
- 71.71°, 1.316 Å, I 22

Structure:
a b c (Å): 8.4218 8.4218 6.1068
angles (deg): 90.00 90.00 120.00
Sites, in units of the cell vectors:
Cd 0.0000 0.2208 0.0000
Cd 0.0000 0.7812 0.5000
Cd 0.2188 0.2188 0.5000
Cd 0.2208 0.0000 0.0000
Cd 0.3333 0.6667 0.2421
Cd 0.3333 0.6667 0.7579
Cd 0.6667 0.3333 0.2421
Cd 0.6667 0.3333 0.7579
Cd 0.7792 0.7792 0.0000
Cd 0.7812 0.0000 0.5000
Ga 0.0000 0.5976 0.0000
Ga 0.4024 0.4024 0.0000
Ga 0.5976 0.0000 0.0000
Hg 0.0000 0.4093 0.5000
Hg 0.4093 0.0000 0.5000
Hg 0.5907 0.5907 0.5000

---

Structure and calculated X-ray powder pattern of Cd15GaHg4 (a structure optimized by DFT (PBE); Cu Kα (weighted mean of Kα1 and Kα2)).
Neutral-atom scattering factors, no anomalous dispersion.

The 10 most intense peaks (2θ from 10° to 90°), by angle:
- 26.87°, 3.318 Å, I 28
- 30.13°, 2.966 Å, I 90
- 32.12°, 2.786 Å, I 31
- 34.42°, 2.605 Å, I 24
- 34.93°, 2.568 Å, I 100
- 35.83°, 2.506 Å, I 92
- 37.05°, 2.426 Å, I 77
- 39.11°, 2.303 Å, I 87
- 39.31°, 2.292 Å, I 52
- 41.65°, 2.169 Å, I 26

Structure:
a b c (Å): 4.3594 4.6682 23.0996
angles (deg): 87.84 85.95 84.86
Sites, in units of the cell vectors:
Cd 0.0000 0.0000 0.0000
Cd 0.0000 0.5000 0.5000
Cd 0.0451 0.0070 0.4084
Cd 0.1226 0.1877 0.8002
Cd 0.3359 0.7764 0.2953
Cd 0.3794 0.3098 0.1995
Cd 0.4369 0.9002 0.0999
Cd 0.4593 0.4908 0.5929
Cd 0.5000 0.5000 0.0000
Cd 0.5407 0.5092 0.4071
Cd 0.5631 0.0998 0.9001
Cd 0.6206 0.6902 0.8005
Cd 0.6641 0.2236 0.7047
Cd 0.8774 0.8123 0.1998
Cd 0.9549 0.9930 0.5916
Ga 0.5000 0.0000 0.5000
Hg 0.0628 0.5996 0.8999
Hg 0.1588 0.7199 0.7037
Hg 0.8412 0.2801 0.2963
Hg 0.9372 0.4004 0.1001

---

Structure and calculated X-ray powder pattern of Cd7GaHg4 (a structure optimized by DFT (PBE); Cu Kα (weighted mean of Kα1 and Kα2)).
Neutral-atom scattering factors, no anomalous dispersion.

The 10 most intense peaks (2θ from 10° to 90°), by angle:
- 18.61°, 4.767 Å, I 27
- 26.81°, 3.325 Å, I 40
- 29.34°, 3.044 Å, I 53
- 33.51°, 2.674 Å, I 81
- 34.10°, 2.629 Å, I 49
- 36.89°, 2.437 Å, I 100
- 38.74°, 2.324 Å, I 53
- 40.81°, 2.211 Å, I 37
- 45.13°, 2.009 Å, I 35
- 48.56°, 1.875 Å, I 36

Structure:
a b c (Å): 7.0670 7.0670 10.7813
angles (deg): 123.33 123.33 44.47
Sites, in units of the cell vectors:
Cd 0.0000 0.0000 0.0000
Cd 0.1406 0.1406 0.5518
Cd 0.2915 0.2915 0.1055
Cd 0.4217 0.4217 0.6806
Cd 0.5783 0.5783 0.3194
Cd 0.7085 0.7085 0.8945
Cd 0.8594 0.8594 0.4482
Ga 0.5000 0.5000 0.0000
Hg 0.0805 0.0805 0.7764
Hg 0.2336 0.2336 0.3332
Hg 0.7664 0.7664 0.6668
Hg 0.9195 0.9195 0.2236

---

Structure and calculated X-ray powder pattern of Cd2GaHg7 (a structure optimized by DFT (PBE); Cu Kα (weighted mean of Kα1 and Kα2)).
Neutral-atom scattering factors, no anomalous dispersion.

The 10 most intense peaks (2θ from 10° to 90°), by angle:
- 28.13°, 3.172 Å, I 73
- 29.26°, 3.052 Å, I 59
- 29.71°, 3.007 Å, I 70
- 30.33°, 2.947 Å, I 100
- 32.39°, 2.764 Å, I 75
- 32.53°, 2.752 Å, I 54
- 33.70°, 2.660 Å, I 60
- 34.21°, 2.621 Å, I 72
- 34.33°, 2.612 Å, I 70
- 40.03°, 2.252 Å, I 60

Structure:
a b c (Å): 9.0867 9.0867 11.4619
angles (deg): 128.16 128.16 48.24
Sites, in units of the cell vectors:
Cd 0.0128 0.3331 0.0926
Cd 0.3331 0.0128 0.5926
Cd 0.6669 0.9872 0.4074
Cd 0.9872 0.6669 0.9074
Ga 0.1236 0.8764 0.7500
Ga 0.8764 0.1236 0.2500
Hg 0.1267 0.6828 0.4295
Hg 0.2144 0.2500 0.4026
Hg 0.2500 0.2144 0.9026
Hg 0.2670 0.7330 0.2500
Hg 0.3057 0.4669 0.7641
Hg 0.3172 0.8733 0.0705
Hg 0.4669 0.3057 0.2641
Hg 0.5331 0.6943 0.7359
Hg 0.6828 0.1267 0.9295
Hg 0.6943 0.5331 0.2359
Hg 0.7330 0.2670 0.7500
Hg 0.7500 0.7856 0.0974
Hg 0.7856 0.7500 0.5974
Hg 0.8733 0.3172 0.5705

---

Structure and calculated X-ray powder pattern of Cd3Ga2Hg8 (a structure optimized by DFT (PBE); Cu Kα (weighted mean of Kα1 and Kα2)).
Neutral-atom scattering factors, no anomalous dispersion.

The 10 most intense peaks (2θ from 10° to 90°), by angle:
- 27.44°, 3.250 Å, I 25
- 29.74°, 3.004 Å, I 58
- 29.87°, 2.991 Å, I 21
- 32.18°, 2.781 Å, I 81
- 32.60°, 2.746 Å, I 20
- 34.19°, 2.623 Å, I 100
- 40.92°, 2.205 Å, I 52
- 51.20°, 1.784 Å, I 23
- 53.74°, 1.706 Å, I 23
- 61.77°, 1.502 Å, I 27

Structure:
a b c (Å): 8.4737 3.5685 11.6814
angles (deg): 90.00 110.53 90.00
Sites, in units of the cell vectors:
Cd 0.0000 0.0000 0.0000
Cd 0.2302 0.5000 0.2433
Cd 0.7698 0.5000 0.7567
Ga 0.2646 0.0000 0.7134
Ga 0.7354 0.0000 0.2866
Hg 0.0962 0.0000 0.4092
Hg 0.1663 0.5000 0.8649
Hg 0.4098 0.0000 0.0967
Hg 0.4108 0.5000 0.5862
Hg 0.5892 0.5000 0.4138
Hg 0.5902 0.0000 0.9033
Hg 0.8337 0.5000 0.1351
Hg 0.9038 0.0000 0.5908

---

Structure and calculated X-ray powder pattern of Cd2GaHg9 (a structure optimized by DFT (PBE); Cu Kα (weighted mean of Kα1 and Kα2)).
Neutral-atom scattering factors, no anomalous dispersion.

The 10 most intense peaks (2θ from 10° to 90°), by angle:
- 33.34°, 2.688 Å, I 100
- 34.99°, 2.564 Å, I 22
- 40.42°, 2.231 Å, I 30
- 54.51°, 1.683 Å, I 25
- 58.50°, 1.578 Å, I 10
- 61.71°, 1.503 Å, I 17
- 69.02°, 1.361 Å, I 25
- 70.02°, 1.344 Å, I 12
- 87.43°, 1.116 Å, I 4
- 87.81°, 1.112 Å, I 7

Structure:
a b c (Å): 4.4627 4.4627 15.3853
angles (deg): 90.00 90.00 90.00
Sites, in units of the cell vectors:
Cd 0.0000 0.0000 0.1689
Cd 0.0000 0.0000 0.8311
Ga 0.0000 0.0000 0.5000
Hg 0.0000 0.5000 0.0000
Hg 0.0000 0.5000 0.3340
Hg 0.0000 0.5000 0.6660
Hg 0.5000 0.0000 0.0000
Hg 0.5000 0.0000 0.3340
Hg 0.5000 0.0000 0.6660
Hg 0.5000 0.5000 0.1675
Hg 0.5000 0.5000 0.5000
Hg 0.5000 0.5000 0.8325